Starting from a cell relaxed with PBE, the XRD peak list of Mg16Al12Mo was simulated for Cu Kα, 1.54184 Å.
Intensities are scaled so that the largest is 1000.

Most intense lines, 10° ≤ 2θ ≤ 90°, in order of rising 2θ:
11.80 deg, I = 397, (1 0 1); 12.18 deg, I = 503, (1 1 0); 34.36 deg, I = 405, (0 4 2); 35.92 deg, I = 1000, (3 0 3); 36.58 deg, I = 855, (2 3 2); 36.98 deg, I = 758, (0 5 1); 37.11 deg, I = 558, (3 3 0); 41.08 deg, I = 529, (5 1 1); 43.14 deg, I = 304, (6 0 0); 65.52 deg, I = 328, (3 5 4)

abc: 14.5358 14.5358 9.3395
angles: 90.00 90.00 120.00
Space group R3m (No. 160, hexagonal axes)
Asymmetric unit:
Mg1 0.0000 0.0000 0.0000 [3 per cell]
Mg2 0.0407 0.3597 0.3697 [18 per cell]
Mg3 0.0946 0.1891 0.4974 [9 per cell]
Mg4 0.0970 0.5485 0.5621 [9 per cell]
Mg5 0.2015 0.4030 0.1252 [9 per cell]
Al1 0.0006 0.1817 0.1909 [18 per cell]
Al2 0.1261 0.0631 0.7186 [9 per cell]
Al3 0.2060 0.4121 0.6130 [9 per cell]
Mo1 0.0000 0.0000 0.2952 [3 per cell]

***

Starting from a cell relaxed with PBE, the XRD peak list of Mg6AlMo was simulated for Cu Kα, 1.54184 Å.
Intensities are scaled so that the largest is 1000.

Most intense lines, 10° ≤ 2θ ≤ 90°, in order of rising 2θ:
16.54 deg, I = 266, (0 0 2); 16.73 deg, I = 499, (0 1 1); 24.90 deg, I = 265, (1 1 1); 33.84 deg, I = 404, (0 2 2); 37.11 deg, I = 416, (2 0 0); 38.38 deg, I = 656, (1 0 4); 38.74 deg, I = 1000, (1 2 2); 51.09 deg, I = 246, (2 2 2); 60.03 deg, I = 188, (0 2 6); 72.72 deg, I = 184, (2 2 6)

abc: 4.8452 6.0943 10.7197
angles: 90.00 90.00 90.00
Space group Amm2 (No. 38)
Asymmetric unit:
Mg1 0.0000 0.0000 0.0000 [2 per cell]
Mg2 0.0000 0.2372 0.2538 [4 per cell]
Mg3 0.5000 0.0000 0.8377 [2 per cell]
Mg4 0.5000 0.2465 0.5898 [4 per cell]
Al1 0.0000 0.0000 0.4807 [2 per cell]
Mo1 0.5000 0.0000 0.3495 [2 per cell]

***

Starting from a cell relaxed with PBE, the XRD peak list of MgAlMo2 was simulated for Cu Kα, 1.54184 Å.
Intensities are scaled so that the largest is 1000.

Most intense lines, 10° ≤ 2θ ≤ 90°, in order of rising 2θ:
20.48 deg, I = 438, (0 0 1); 32.81 deg, I = 269, (1 1 0); 38.99 deg, I = 1000, (1 1 1); 41.65 deg, I = 206, (0 0 2); 47.09 deg, I = 285, (2 0 0); 51.85 deg, I = 140, (2 0 1); 54.01 deg, I = 124, (1 1 2); 64.65 deg, I = 215, (2 0 2); 74.23 deg, I = 144, (1 1 3); 82.01 deg, I = 222, (3 1 1)

abc: 3.8599 3.8599 4.3371
angles: 90.00 90.00 90.00
Space group P4/mmm (No. 123)
Asymmetric unit:
Mg1 0.0000 0.0000 0.0000 [1 per cell]
Al1 0.5000 0.5000 0.0000 [1 per cell]
Mo1 0.0000 0.5000 0.5000 [2 per cell]